Theoretical X-ray powder pattern of LiMn2Fe2P4O16 for Cu Kα (weighted mean of Kα1 and Kα2), from DFT lattice parameters and positions (PBE+U).
No peak broadening, texture or thermal motion is included.

Atomic structure:
abc: 4.953 5.940 10.119
angles: 90.00 90.01 90.00
Space group Pm (No. 6)
Symmetry-distinct sites (fractional):
Li  0.000  0.000  0.000 (multiplicity 1)
Mn  0.152  0.500  0.239 (multiplicity 1)
Mn  0.595  0.000  0.181 (multiplicity 1)
Fe  0.030  0.000  0.667 (multiplicity 1)
Fe  0.533  0.500  0.719 (multiplicity 1)
P  0.147  0.000  0.359 (multiplicity 1)
P  0.476  0.000  0.844 (multiplicity 1)
P  0.685  0.500  0.044 (multiplicity 1)
P  0.983  0.500  0.544 (multiplicity 1)
O  0.229  0.000  0.507 (multiplicity 1)
O  0.288  0.500  0.568 (multiplicity 1)
O  0.294  0.201  0.286 (multiplicity 2)
O  0.337  0.201  0.768 (multiplicity 2)
O  0.383  0.500  0.084 (multiplicity 1)
O  0.393  0.000  0.989 (multiplicity 1)
O  0.700  0.500  0.891 (multiplicity 1)
O  0.787  0.000  0.828 (multiplicity 1)
O  0.835  0.289  0.100 (multiplicity 2)
O  0.837  0.298  0.617 (multiplicity 2)
O  0.846  0.000  0.343 (multiplicity 1)
O  0.920  0.500  0.395 (multiplicity 1)

Largest 10 diffraction maxima, in order of rising 2θ, 2θ = 5–70°:
h k l	d/Å	Rel. int.
0 0 2	5.060	64
1 0 1	4.449	97
1 1 -1	3.561	84
1 0 2	3.539	23
1 1 2	3.040	26
0 2 0	2.970	79
1 1 -3	2.524	100
1 2 1	2.470	33
2 2 -2	1.780	22
1 3 -3	1.614	24